Li4V3CoO10: theoretical X-ray powder pattern (a wavelength of 1.5418 Å), based on a DFT-relaxed cell (GGA+U, Alexandria).
Kinematic intensities with the Lorentz-polarization factor, no thermal factor.

Peak list (6 most intense, 5 to 70 degrees two-theta, in order of falling intensity)
index  2θ/deg  Rel. int.
1 0 0  18.75  100
1 2 0  32.83  95
0 2 0  26.68  69
0 0 2  26.84  68
1 0 -1  23.02  39
0 4 0  54.93  33

Structural model:
Cell lengths 4.7324, 6.6816, 6.6427 Å; angles 90.00, 90.33, 90.00 degrees
Positions (direct):
Li: 0.0000 0.2253 0.0000
Li: 0.0000 0.7747 0.0000
Li: 0.0776 0.2593 0.5399
Li: 0.0776 0.7407 0.5399
V: 0.4194 0.0000 0.2418
V: 0.5327 0.5000 0.2477
V: 0.6395 0.5000 0.7359
Co: 0.5506 0.0000 0.7466
O: 0.2827 0.5000 0.6971
O: 0.2845 0.0000 0.9871
O: 0.3038 0.0000 0.5012
O: 0.3100 0.2897 0.2450
O: 0.3100 0.7103 0.2450
O: 0.7433 0.5000 0.0369
O: 0.7713 0.5000 0.4460
O: 0.7716 0.0000 0.2240
O: 0.7900 0.2349 0.7487
O: 0.7900 0.7651 0.7487